No. 1
# YZrO3
Theoretical powder diffractogram, CuKα. Input: a DFT-relaxed cell (PBE, the Materials Project).

Atomic structure:
a = 10.4695 Å, b = 10.4896 Å, c = 10.4912 Å
α = 90.00°, β = 90.00°, γ = 90.00°
Space group I2_12_12_1 (No. 24)
One atom of each set of equivalent atoms:
Y 0.0000 0.2500 0.0235
Y 0.0216 0.0000 0.7500
Y 0.2500 0.0120 0.0000
Y 0.2500 0.4788 0.5000
Zr 0.0000 0.2500 0.5081
Zr 0.0072 0.5000 0.2500
Zr 0.2400 0.2387 0.2636
O 0.1104 0.3527 0.3755
O 0.1168 0.1477 0.8746
O 0.1213 0.1169 0.1508
O 0.1246 0.3844 0.6433
O 0.1392 0.1321 0.6134
O 0.1440 0.3798 0.1203

Top 8 peaks for 2θ from 5° to 70°, by intensity:
d [Å], 2θ/deg, intensity, index
3.026, 29.52, 100, 2 2 2
1.853, 49.16, 49, 4 4 0
1.580, 58.39, 36, 6 2 2
2.621, 34.21, 26, 4 0 0
1.513, 61.26, 6, 4 4 4
4.280, 20.75, 5, 1 1 2
2.235, 40.35, 4, 3 2 3
2.056, 44.04, 3, 0 1 5

No. 2
# Y4Zr3O12
Theoretical powder diffractogram, CuKα. Input: a DFT-relaxed cell (PBE, the Materials Project).

Atomic structure:
a = 6.4476 Å, b = 6.4486 Å, c = 6.4577 Å
α = 98.77°, β = 99.29°, γ = 99.66°
Space group P1 (No. 1)
One atom of each set of equivalent atoms:
Y 0.0000 0.0000 0.0000
Y 0.0898 0.2518 0.5533
Y 0.3906 0.7805 0.7231
Y 0.5574 0.0793 0.2540
Zr 0.3114 0.5288 0.1648
Zr 0.7006 0.3932 0.8609
Zr 0.8383 0.6993 0.4711
O 0.0180 0.3531 0.9534
O 0.1040 0.9498 0.6783
O 0.1134 0.5735 0.4202
O 0.2716 0.2269 0.2746
O 0.2767 0.8087 0.0482
O 0.3792 0.4454 0.8006
O 0.5195 0.7832 0.4233
O 0.6235 0.0786 0.9169
O 0.6424 0.4838 0.1797
O 0.7536 0.3202 0.5465
O 0.7709 0.7056 0.7849
O 0.8751 0.9553 0.2976

Top 8 peaks for 2θ from 5° to 70°, by intensity:
d [Å], 2θ/deg, intensity, index
3.042, 29.36, 100, 1 0 -2
3.028, 29.50, 51, 0 2 -1
3.069, 29.10, 47, 1 1 1
1.868, 48.74, 30, 3 0 1
1.591, 57.95, 16, 3 2 0
1.581, 58.36, 16, 3 1 -3
1.862, 48.91, 16, -3 1 2
2.650, 33.83, 16, -1 2 1

No. 3
# YZr4O9
Theoretical powder diffractogram, CuKα. Input: a DFT-relaxed cell (PBE, the Materials Project).

Atomic structure:
a = 5.2544 Å, b = 6.1681 Å, c = 6.3580 Å
α = 80.72°, β = 68.93°, γ = 67.64°
Space group P1 (No. 1)
One atom of each set of equivalent atoms:
Y 0.0000 0.0000 0.0000
Zr 0.2450 0.4317 0.2121
Zr 0.3607 0.8491 0.4291
Zr 0.6476 0.2451 0.5512
Zr 0.7549 0.6602 0.7947
O 0.0541 0.1655 0.2798
O 0.2395 0.4993 0.5392
O 0.3953 0.7389 0.1186
O 0.4243 0.9785 0.7219
O 0.5714 0.0970 0.2899
O 0.6473 0.3448 0.8808
O 0.7418 0.5824 0.4771
O 0.9491 0.9379 0.6683
O 0.9956 0.6274 0.0076

Top 8 peaks for 2θ from 5° to 70°, by intensity:
d [Å], 2θ/deg, intensity, index
3.165, 28.19, 100, 1 0 -1
2.924, 30.57, 89, 1 2 0
2.964, 30.15, 88, 1 1 2
3.001, 29.77, 87, 1 -1 1
2.600, 34.50, 59, 0 2 1
1.884, 48.30, 30, 0 1 3
1.911, 47.59, 30, 2 -1 0
1.821, 50.10, 30, 2 0 3

No. 4
# YZr5O12
Theoretical powder diffractogram, CuKα. Input: a DFT-relaxed cell (PBE, the Materials Project).

Atomic structure:
a = 11.7429 Å, b = 5.1700 Å, c = 7.3997 Å
α = 90.00°, β = 109.02°, γ = 90.00°
Space group C2 (No. 5)
One atom of each set of equivalent atoms:
Y 0.0000 0.0000 0.0000
Zr 0.0000 0.9941 0.5000
Zr 0.1665 0.4998 0.3343
Zr 0.1673 0.5028 0.8337
O 0.0095 0.7366 0.2510
O 0.0117 0.2504 0.7333
O 0.1569 0.7523 0.5938
O 0.1639 0.2620 0.0980
O 0.1794 0.2509 0.5716
O 0.1799 0.7466 0.0765

Top 8 peaks for 2θ from 5° to 70°, by intensity:
d [Å], 2θ/deg, intensity, index
3.009, 29.69, 100, 3 1 0
1.834, 49.72, 20, 2 2 2
1.850, 49.25, 20, 6 0 0
1.844, 49.42, 20, 4 2 -2
1.583, 58.30, 14, 7 1 -2
1.569, 58.84, 14, 5 1 2
1.562, 59.14, 13, 3 3 0
2.632, 34.07, 8, 4 0 -2

No. 5
# YZrO14
Theoretical powder diffractogram, CuKα. Input: a DFT-relaxed cell (PBE, the Materials Project).

Atomic structure:
a = 11.8720 Å, b = 11.8720 Å, c = 11.8720 Å
α = 90.00°, β = 90.00°, γ = 90.00°
Space group Fd-3m (No. 227, origin choice 2)
One atom of each set of equivalent atoms:
Y 0.1250 0.1250 0.1250
Zr 0.1250 0.1250 0.6250
O 0.0000 0.0000 0.0000
O 0.0649 0.0649 0.4208

Top 8 peaks for 2θ from 5° to 70°, by intensity:
d [Å], 2θ/deg, intensity, index
4.197, 21.17, 100, 2 2 0
2.423, 37.10, 95, 4 2 2
1.877, 48.50, 44, 6 2 0
1.586, 58.15, 41, 6 4 2
2.099, 43.10, 39, 4 4 0
2.968, 30.11, 39, 4 0 0
1.399, 66.87, 30, 8 2 2
6.854, 12.92, 20, 1 1 1

No. 6
# ZnO2
Theoretical powder diffractogram, CuKα. Input: a DFT-relaxed cell (PBE, the Materials Project).

Atomic structure:
a = 3.5624 Å, b = 5.3427 Å, c = 7.1041 Å
α = 90.00°, β = 92.65°, γ = 90.00°
Space group P2_1 (No. 4)
One atom of each set of equivalent atoms:
Zn 0.2431 0.0000 0.4020
Zn 0.2472 0.2545 0.9034
O 0.2452 0.9271 0.0917
O 0.2487 0.3284 0.5924
O 0.3138 0.8974 0.7283
O 0.3396 0.3525 0.2328

Top 8 peaks for 2θ from 5° to 70°, by intensity:
d [Å], 2θ/deg, intensity, index
2.960, 30.20, 100, 1 1 0
2.163, 41.76, 51, 0 1 3
2.500, 35.92, 33, 0 2 1
2.771, 32.30, 26, 1 1 -1
4.268, 20.81, 22, 0 1 1
1.608, 57.30, 20, 1 2 -3
1.779, 51.35, 19, 2 0 0
2.456, 36.58, 19, 1 0 2